Theoretical XRD peak list
Compound: CsSrCo2Cl8
Radiation: a wavelength of 1.5418 Å
Structure: the GGA-PBE geometry in Alexandria
Intensities are scaled so that the largest is 1000.

Structural model:
Cell lengths 6.6739, 6.6739, 29.7021 Å; angles 90.00, 90.00, 120.00 degrees
Space group R-3 (No. 148, hexagonal axes)
Unique sites:
Cs: 0.0000 0.0000 0.0000 (multiplicity 3)
Sr: 0.0000 0.0000 0.5000 (multiplicity 3)
Co: 0.0000 0.0000 0.2499 (multiplicity 6)
Cl: 0.0000 0.0000 0.3233 (multiplicity 6)
Cl: 0.0092 0.6500 0.4412 (multiplicity 18)

Principal peaks in the range 2θ = 15–90°, most intense first:
Position (°2θ)  I (rel.)
19.46  1000
26.71  406
28.22  405
45.63  394
32.35  370
47.17  315
28.58  312
33.27  240
43.17  236
27.02  145
48.34  130
86.63  114

---

Theoretical XRD peak list
Compound: Dy4HgN
Radiation: a wavelength of 1.5418 Å
Structure: the GGA-PBE geometry in Alexandria
Intensities are scaled so that the largest is 1000.

Structural model:
Cell lengths 9.112, 9.565, 3.682 Å; angles 90.00, 90.00, 90.00 degrees
Space group Cmmm (No. 65)
Unique sites:
Dy: 0.000 0.246 0.000 (multiplicity 4)
Dy: 0.175 0.000 0.500 (multiplicity 4)
Hg: 0.000 0.500 0.500 (multiplicity 2)
N: 0.000 0.000 0.000 (multiplicity 2)

Principal peaks in the range 2θ = 15–90°, most intense first:
Position (°2θ)  I (rel.)
30.64  1000
39.60  497
30.89  351
37.61  309
19.48  265
48.20  216
69.82  186
36.57  186
41.04  186
27.03  175
31.24  145
49.51  142

---

Theoretical XRD peak list
Compound: ZnOs4
Radiation: a wavelength of 1.5418 Å
Structure: the GGA-PBE geometry in Alexandria
Intensities are scaled so that the largest is 1000.

Structural model:
Cell lengths 6.107, 6.107, 3.837 Å; angles 90.00, 90.00, 90.00 degrees
Space group I4/m (No. 87)
Unique sites:
Zn: 0.000 0.000 0.000 (multiplicity 2)
Os: 0.094 0.301 0.500 (multiplicity 8)

Principal peaks in the range 2θ = 15–90°, most intense first:
Position (°2θ)  I (rel.)
40.55  1000
47.06  330
82.97  259
69.00  212
47.39  159
83.46  127
87.73  117
68.74  108
20.57  62
27.45  60
50.77  20
41.84  17

---

Theoretical XRD peak list
Compound: Hf4ReOs2
Radiation: a wavelength of 1.5418 Å
Structure: the GGA-PBE geometry in Alexandria
Intensities are scaled so that the largest is 1000.

Structural model:
Cell lengths 6.488, 6.488, 6.434 Å; angles 90.00, 90.00, 90.00 degrees
Space group I4/mmm (No. 139)
Unique sites:
Hf: 0.250 0.250 0.250 (multiplicity 8)
Re: 0.000 0.000 0.000 (multiplicity 2)
Os: 0.000 0.500 0.000 (multiplicity 4)

Principal peaks in the range 2θ = 15–90°, most intense first:
Position (°2θ)  I (rel.)
39.45  1000
39.27  506
71.31  357
19.40  194
71.66  176
56.75  175
84.91  115
57.28  85
33.89  64
84.46  58
34.04  34
44.16  32

---

Theoretical XRD peak list
Compound: BaNa4Ti2Si12O30
Radiation: a wavelength of 1.5418 Å
Structure: the GGA-PBE geometry in Alexandria
Intensities are scaled so that the largest is 1000.

Structural model:
Cell lengths 10.240, 17.501, 7.356 Å; angles 90.00, 93.76, 90.00 degrees
Space group C2/m (No. 12)
Unique sites:
Ba: 0.000 0.000 0.000 (multiplicity 2)
Na: 0.000 0.268 0.500 (multiplicity 4)
Na: 0.232 0.500 0.534 (multiplicity 4)
Ti: 0.000 0.084 0.500 (multiplicity 4)
Si: 0.005 0.413 0.783 (multiplicity 8)
Si: 0.221 0.154 0.189 (multiplicity 8)
Si: 0.244 0.171 0.763 (multiplicity 8)
O: 0.000 0.418 0.000 (multiplicity 4)
O: 0.034 0.500 0.705 (multiplicity 4)
O: 0.089 0.000 0.629 (multiplicity 4)
O: 0.119 0.169 0.626 (multiplicity 8)
O: 0.122 0.356 0.729 (multiplicity 8)
O: 0.131 0.092 0.278 (multiplicity 8)
O: 0.135 0.384 0.312 (multiplicity 8)
O: 0.186 0.244 0.220 (multiplicity 8)
O: 0.216 0.137 0.967 (multiplicity 8)

Principal peaks in the range 2θ = 15–90°, most intense first:
Position (°2θ)  I (rel.)
20.13  1000
26.85  519
25.76  501
35.13  401
29.01  356
24.12  306
29.84  297
31.83  242
37.95  240
22.92  232
26.33  229
35.44  187

---

Theoretical XRD peak list
Compound: LiGa2Au4
Radiation: a wavelength of 1.5418 Å
Structure: the GGA-PBE geometry in Alexandria
Intensities are scaled so that the largest is 1000.

Structural model:
Cell lengths 5.109, 10.627, 4.587 Å; angles 90.00, 90.00, 90.00 degrees
Space group Pbam (No. 55)
Unique sites:
Li: 0.000 0.000 0.000 (multiplicity 2)
Ga: 0.230 0.174 0.500 (multiplicity 4)
Au: 0.004 0.305 0.000 (multiplicity 4)
Au: 0.248 0.430 0.500 (multiplicity 4)

Principal peaks in the range 2θ = 15–90°, most intense first:
Position (°2θ)  I (rel.)
40.42  1000
25.66  795
39.29  547
43.15  545
36.56  401
38.18  353
39.14  322
50.62  320
30.71  253
55.94  234
84.97  201
56.65  190